# PmPtAu4
Simulated X-ray diffraction stick pattern, Cu Kα (weighted mean of Kα1 and Kα2). Input: a GGA-PBE-relaxed structure.

Largest 10 diffraction maxima, by intensity, 2θ from 10° to 90°:
| Position (°2θ) | I_rel |
| --- | --- |
| 38.1 | 100.0 |
| 37.9 | 48.6 |
| 35.3 | 42.6 |
| 36.7 | 38.7 |
| 43.0 | 34.2 |
| 65.1 | 20.3 |
| 32.9 | 19.6 |
| 35.9 | 17.7 |
| 49.8 | 16.9 |
| 60.0 | 14.3 |

Crystal structure
Lattice parameters (Å, degrees): 7.513 7.513 5.474 106.41 106.41 57.35
Element x y z (fractional)
1 Pm 0.218 0.218 0.151
2 Pm 0.782 0.782 0.849
3 Pt 0.462 0.462 0.240
4 Pt 0.538 0.538 0.760
5 Au 0.076 0.688 0.424
6 Au 0.188 0.812 0.000
7 Au 0.312 0.924 0.576
8 Au 0.319 0.319 0.736
9 Au 0.681 0.681 0.264
10 Au 0.688 0.076 0.424
11 Au 0.812 0.188 0.000
12 Au 0.924 0.312 0.576